Entry 1:
La3SmBi2: computed powder X-ray diffraction pattern (Cu Kα (λ = 1.5418 Å)), based on a DFT-relaxed cell (GGA-PBE, Alexandria).
Peak positions follow from Bragg's law for the DFT cell and can differ from measured ones.

Principal peaks in the range 5 to 70 degrees two-theta, low angle first:
hkl, 2θ (°), I_rel
1 1 0, 26.66, 25
1 1 1, 28.41, 73
0 0 3, 29.18, 34
1 1 2, 33.15, 100
1 0 3, 34.93, 33
2 0 0, 38.06, 58
2 0 3, 48.67, 34
2 1 3, 52.61, 21
2 2 0, 54.92, 20
3 1 2, 65.67, 28

Atomic structure:
```
data_La3SmBi2
_chemical_formula_sum 'La3 Sm1 Bi2'
_cell_length_a 4.729
_cell_length_b 4.729
_cell_length_c 9.180
_cell_angle_alpha 90.00
_cell_angle_beta 90.00
_cell_angle_gamma 90.00
_space_group_name_H-M_alt 'P -4 m 2'
_space_group_IT_number 115
_space_group_name_Hall 'P -4 -2'
loop_
_atom_site_label
_atom_site_fract_x
_atom_site_fract_y
_atom_site_fract_z
_atom_site_occupancy
La1 0.000 0.000 0.000 1
La2 0.000 0.500 0.646 1
Sm1 0.500 0.500 0.000 1
Bi1 0.000 0.500 0.277 1
```

---

Entry 2:
La3SmBi3: computed powder X-ray diffraction pattern (Cu Kα (λ = 1.5418 Å)), based on a DFT-relaxed cell (GGA-PBE, Alexandria).
Peak positions follow from Bragg's law for the DFT cell and can differ from measured ones.

Principal peaks in the range 5 to 70 degrees two-theta, low angle first:
hkl, 2θ (°), I_rel
1 2 0, 28.52, 20
0 0 2, 29.06, 37
1 2 1, 32.09, 100
3 0 0, 32.43, 13
1 2 2, 41.17, 15
3 1 1, 42.00, 10
3 0 2, 44.10, 11
1 2 3, 53.46, 24
4 1 2, 59.33, 11
4 2 1, 61.11, 10

Atomic structure:
```
data_La3SmBi3
_chemical_formula_sum 'La6 Sm2 Bi6'
_cell_length_a 9.5622
_cell_length_b 9.5622
_cell_length_c 6.1449
_cell_angle_alpha 90.00
_cell_angle_beta 90.00
_cell_angle_gamma 120.00
_space_group_name_H-M_alt 'P 63/m'
_space_group_IT_number 176
_space_group_name_Hall '-P 6c'
loop_
_atom_site_label
_atom_site_fract_x
_atom_site_fract_y
_atom_site_fract_z
_atom_site_occupancy
La1 0.0116 0.7599 0.2500 1
Sm1 0.3333 0.6667 0.2500 1
Bi1 0.0540 0.6240 0.7500 1
```

---

Entry 3:
La2SmBi3: computed powder X-ray diffraction pattern (Cu Kα (λ = 1.5418 Å)), based on a DFT-relaxed cell (GGA-PBE, Alexandria).
Peak positions follow from Bragg's law for the DFT cell and can differ from measured ones.

Principal peaks in the range 5 to 70 degrees two-theta, low angle first:
hkl, 2θ (°), I_rel
1 1 0, 23.39, 6
0 2 0, 27.07, 100
2 0 0, 38.66, 79
1 3 0, 45.68, 4
2 2 0, 47.84, 29
0 4 0, 55.83, 14
3 1 0, 61.34, 1
3 0 3, 63.11, 32
1 0 9, 63.19, 6
2 4 0, 69.94, 19

Atomic structure:
```
data_La2SmBi3
_chemical_formula_sum 'La4 Sm2 Bi6'
_cell_length_a 4.662
_cell_length_b 6.588
_cell_length_c 13.958
_cell_angle_alpha 90.00
_cell_angle_beta 90.00
_cell_angle_gamma 90.00
_space_group_name_H-M_alt 'I m m m'
_space_group_IT_number 71
_space_group_name_Hall '-I 2 2'
loop_
_atom_site_label
_atom_site_fract_x
_atom_site_fract_y
_atom_site_fract_z
_atom_site_occupancy
La1 0.000 0.000 0.168 1
Sm1 0.000 0.000 0.500 1
Bi1 0.000 0.500 0.163 1
Bi2 0.000 0.500 0.500 1
```

---

Entry 4:
La3SmBi4: computed powder X-ray diffraction pattern (Cu Kα (λ = 1.5418 Å)), based on a DFT-relaxed cell (GGA-PBE, Alexandria).
Peak positions follow from Bragg's law for the DFT cell and can differ from measured ones.

Principal peaks in the range 5 to 70 degrees two-theta, low angle first:
hkl, 2θ (°), I_rel
0 2 1, 23.33, 7
2 0 1, 27.00, 100
0 0 2, 38.56, 79
2 2 2, 45.56, 4
0 4 2, 47.71, 29
4 0 2, 55.68, 14
0 2 3, 61.18, 2
2 0 3, 62.95, 38
2 4 3, 69.77, 28

Atomic structure:
```
data_La3SmBi4
_chemical_formula_sum 'La6 Sm2 Bi8'
_cell_length_a 9.335
_cell_length_b 13.201
_cell_length_c 4.673
_cell_angle_alpha 90.00
_cell_angle_beta 90.00
_cell_angle_gamma 90.00
_space_group_name_H-M_alt 'C m m m'
_space_group_IT_number 65
_space_group_name_Hall '-C 2 2'
loop_
_atom_site_label
_atom_site_fract_x
_atom_site_fract_y
_atom_site_fract_z
_atom_site_occupancy
La1 0.000 0.000 0.000 1
La2 0.250 0.250 0.500 1
Sm1 0.000 0.500 0.000 1
Bi1 0.000 0.252 0.000 1
Bi2 0.245 0.500 0.500 1
```